# As3P2
Computed X-ray powder pattern, Cu Kα. Input: DFT lattice parameters and positions (GGA-PBE).

Atomic structure:
Cell: 6.3943 6.3943 17.2635 Å, 90.00 90.00 120.00°
Space group R-3c (No. 167, hexagonal axes)
Unique sites:
1 As 0.0000 0.2944 0.2500
2 P 0.0000 0.0000 0.1522

Principal peaks in the range 5 to 70 degrees two-theta, low angle first:
Position (°2θ), I_rel, (hkl)
19.0, 17, 0 1 2
31.1, 16, 0 0 6
32.0, 100, 1 1 3
38.6, 8, 0 2 4
42.3, 33, 1 1 6
43.6, 9, 2 1 1
49.4, 26, 3 0 0
55.9, 20, 1 1 9
59.5, 9, 3 0 6
60.1, 10, 2 2 3